The following is a computed X-ray powder pattern of Pm3AlSi6Pt2. It was derived from DFT lattice parameters and positions (PBE), using Cu Kα (weighted mean of Kα1 and Kα2).
Peak positions follow from Bragg's law for the DFT cell and can differ from measured ones.

Atomic structure:
```
12
Lattice="5.7885 0.0000 0.0000 -2.8942 5.0130 0.0000 0.0000 0.0000 8.1915" Properties=species:S:1:pos:R:3 pbc="T T T"
Pm 0.0000 0.0000 0.0000
Pm 0.0000 3.3420 5.1379
Pm 2.8942 1.6710 3.0536
Al 0.0000 0.0000 4.0957
Si 0.0000 1.9405 2.3196
Si -1.2137 4.0427 2.3196
Si 1.6805 0.9702 5.8719
Si 1.2137 4.0427 2.3196
Si 4.1079 0.9702 5.8719
Si 2.8942 3.0725 5.8719
Pt 0.0000 3.3420 0.2831
Pt 2.8942 1.6710 7.9083
```

Main lines, in order of falling intensity (10 to 90 degrees two-theta):
hkl  two_theta  d (Å)  I_rel
1 1 0  30.90  2.894  100
1 1 2  38.07  2.364  53
0 1 2  28.13  3.172  52
0 0 3  32.81  2.730  47
1 1 3  45.68  1.986  40
0 0 1  10.80  8.191  34